Starting from DFT lattice parameters and positions (GGA-PBE), the powder diffractogram of La5Y2Tm was calculated for Cu Kα (weighted mean of Kα1 and Kα2).
No peak broadening, texture or thermal motion is included.

Largest 10 diffraction maxima, in order of rising 2θ, 10° ≤ 2θ ≤ 90°:
d 3.338, 26.71°, rel. 64; d 3.110, 28.70°, rel. 32; d 3.097, 28.83°, rel. 31; d 3.036, 29.42°, rel. 100; d 3.006, 29.72°, rel. 48; d 2.948, 30.32°, rel. 57; d 2.875, 31.11°, rel. 29; d 2.511, 35.76°, rel. 23; d 1.848, 49.30°, rel. 25; d 1.731, 52.89°, rel. 22

Structural model:
```
data_La5Y2Tm
_chemical_formula_sum 'La20 Y8 Tm4'
_symmetry_space_group_name_H-M 'C 1 2/c 1'
_symmetry_Int_Tables_number 15
_cell_length_a 6.4228
_cell_length_b 27.2298
_cell_length_c 6.4523
_cell_angle_alpha 90.00
_cell_angle_beta 97.98
_cell_angle_gamma 90.00
loop_
_symmetry_equiv_pos_as_xyz
'x,y,z'
'-x,-y,-z'
'-x,y,-z+1/2'
'x,-y,z+1/2'
'x+1/2,y+1/2,z'
'-x+1/2,-y+1/2,-z'
'-x+1/2,y+1/2,-z+1/2'
'x+1/2,-y+1/2,z+1/2'
loop_
_atom_site_label
_atom_site_fract_x
_atom_site_fract_y
_atom_site_fract_z
La1 0.0000 0.1269 0.2500
La2 0.2049 0.3172 0.0107
La3 0.2380 0.4038 0.3150
Y1 0.0000 0.0000 0.0000
Y2 0.2500 0.2500 0.5000
Tm1 0.0000 0.4597 0.7500
```

Starting from DFT lattice parameters and positions (GGA-PBE), the powder diffractogram of La4Y3Tm2 was calculated for Cu Kα (weighted mean of Kα1 and Kα2).
No peak broadening, texture or thermal motion is included.

Largest 10 diffraction maxima, in order of rising 2θ, 10° ≤ 2θ ≤ 90°:
d 2.967, 30.12°, rel. 100; d 2.583, 34.73°, rel. 17; d 2.567, 34.95°, rel. 17; d 2.557, 35.09°, rel. 17; d 1.821, 50.09°, rel. 12; d 1.817, 50.22°, rel. 18; d 1.555, 59.42°, rel. 14; d 1.550, 59.65°, rel. 7; d 1.546, 59.81°, rel. 14; d 1.542, 59.98°, rel. 7

Structural model:
```
data_La4Y3Tm2
_chemical_formula_sum 'La8 Y6 Tm4'
_symmetry_space_group_name_H-M 'C 1 2/m 1'
_symmetry_Int_Tables_number 12
_cell_length_a 15.4048
_cell_length_b 5.1665
_cell_length_c 8.0807
_cell_angle_alpha 90.00
_cell_angle_beta 108.31
_cell_angle_gamma 90.00
loop_
_symmetry_equiv_pos_as_xyz
'x,y,z'
'-x,-y,-z'
'-x,y,-z'
'x,-y,z'
'x+1/2,y+1/2,z'
'-x+1/2,-y+1/2,-z'
'-x+1/2,y+1/2,-z'
'x+1/2,-y+1/2,z'
loop_
_atom_site_label
_atom_site_fract_x
_atom_site_fract_y
_atom_site_fract_z
La1 0.0548 0.0000 0.3285
La2 0.2235 0.5000 0.3315
Y1 0.0000 0.5000 0.0000
Y2 0.1122 0.5000 0.6715
Tm1 0.1684 0.0000 0.0001
```

Starting from DFT lattice parameters and positions (GGA-PBE), the powder diffractogram of La7YTm3 was calculated for Cu Kα (weighted mean of Kα1 and Kα2).
No peak broadening, texture or thermal motion is included.

Largest 10 diffraction maxima, in order of rising 2θ, 10° ≤ 2θ ≤ 90°:
d 3.257, 27.38°, rel. 66; d 3.085, 28.94°, rel. 48; d 3.031, 29.47°, rel. 70; d 2.970, 30.09°, rel. 100; d 2.861, 31.27°, rel. 73; d 2.753, 32.52°, rel. 94; d 2.692, 33.29°, rel. 90; d 2.655, 33.76°, rel. 45; d 1.835, 49.67°, rel. 26; d 1.589, 58.04°, rel. 29

Structural model:
```
data_La7YTm3
_chemical_formula_sum 'La14 Y2 Tm6'
_symmetry_space_group_name_H-M 'P -1'
_symmetry_Int_Tables_number 2
_cell_length_a 7.0485
_cell_length_b 9.9912
_cell_length_c 12.9498
_cell_angle_alpha 111.82
_cell_angle_beta 90.16
_cell_angle_gamma 110.55
loop_
_symmetry_equiv_pos_as_xyz
'x,y,z'
'-x,-y,-z'
loop_
_atom_site_label
_atom_site_fract_x
_atom_site_fract_y
_atom_site_fract_z
La1 0.0672 0.1658 0.4762
La2 0.0690 0.1527 0.9664
La3 0.1325 0.5012 0.7506
La4 0.3367 0.2452 0.2302
La5 0.3995 0.8355 0.0257
La6 0.4133 0.2476 0.7301
La7 0.4164 0.8486 0.5347
Y1 0.0000 0.5000 0.0000
Y2 0.0000 0.5000 0.5000
Tm1 0.1619 0.8661 0.2705
Tm2 0.2001 0.8673 0.7703
Tm3 0.5000 0.5000 0.0000
Tm4 0.5000 0.5000 0.5000
```

Starting from DFT lattice parameters and positions (GGA-PBE), the powder diffractogram of La2YTm12 was calculated for Cu Kα (weighted mean of Kα1 and Kα2).
No peak broadening, texture or thermal motion is included.

Largest 10 diffraction maxima, in order of rising 2θ, 10° ≤ 2θ ≤ 90°:
d 2.934, 30.47°, rel. 100; d 2.850, 31.39°, rel. 43; d 2.778, 32.23°, rel. 73; d 2.755, 32.49°, rel. 35; d 2.738, 32.70°, rel. 77; d 2.656, 33.74°, rel. 34; d 2.468, 36.40°, rel. 31; d 1.956, 46.42°, rel. 25; d 1.536, 60.24°, rel. 28; d 1.491, 62.26°, rel. 22

Structural model:
```
data_La2YTm12
_chemical_formula_sum 'La2 Y1 Tm12'
_symmetry_space_group_name_H-M 'P 1 2/m 1'
_symmetry_Int_Tables_number 10
_cell_length_a 3.5346
_cell_length_b 5.5555
_cell_length_c 24.2566
_cell_angle_alpha 90.00
_cell_angle_beta 94.10
_cell_angle_gamma 90.00
loop_
_symmetry_equiv_pos_as_xyz
'x,y,z'
'-x,-y,-z'
'-x,y,-z'
'x,-y,z'
loop_
_atom_site_label
_atom_site_fract_x
_atom_site_fract_y
_atom_site_fract_z
La1 0.1397 0.0000 0.2731
Y1 0.5000 0.0000 0.0000
Tm1 0.0410 0.5000 0.0748
Tm2 0.2236 0.5000 0.4460
Tm3 0.2847 0.0000 0.5704
Tm4 0.3319 0.5000 0.6673
Tm5 0.3968 0.5000 0.7998
Tm6 0.4266 0.0000 0.8651
```

Starting from DFT lattice parameters and positions (GGA-PBE), the powder diffractogram of La3Y6Tm was calculated for Cu Kα (weighted mean of Kα1 and Kα2).
No peak broadening, texture or thermal motion is included.

Largest 10 diffraction maxima, in order of rising 2θ, 10° ≤ 2θ ≤ 90°:
d 5.341, 16.60°, rel. 12; d 3.151, 28.32°, rel. 77; d 3.053, 29.25°, rel. 14; d 2.853, 31.36°, rel. 100; d 2.783, 32.16°, rel. 22; d 2.672, 33.54°, rel. 38; d 2.651, 33.81°, rel. 30; d 1.846, 49.38°, rel. 12; d 1.836, 49.65°, rel. 12; d 1.547, 59.77°, rel. 13

Structural model:
```
data_La3Y6Tm
_chemical_formula_sum 'La12 Y24 Tm4'
_symmetry_space_group_name_H-M 'C m c 21'
_symmetry_Int_Tables_number 36
_cell_length_a 11.0560
_cell_length_b 19.0671
_cell_length_c 6.4434
_cell_angle_alpha 90.00
_cell_angle_beta 90.00
_cell_angle_gamma 90.00
loop_
_symmetry_equiv_pos_as_xyz
'x,y,z'
'-x,-y,z+1/2'
'-x,y,z'
'x,-y,z+1/2'
'x+1/2,y+1/2,z'
'-x+1/2,-y+1/2,z+1/2'
'-x+1/2,y+1/2,z'
'x+1/2,-y+1/2,z+1/2'
loop_
_atom_site_label
_atom_site_fract_x
_atom_site_fract_y
_atom_site_fract_z
La1 0.0000 0.1138 0.0000
La2 0.1737 0.3854 0.3956
Y1 0.0000 0.2275 0.5786
Y2 0.0000 0.4607 0.8053
Y3 0.1685 0.0452 0.4852
Y4 0.2410 0.2094 0.3016
Tm1 0.0000 0.3051 0.0603
```

Starting from DFT lattice parameters and positions (GGA-PBE), the powder diffractogram of LaYTm4 was calculated for Cu Kα (weighted mean of Kα1 and Kα2).
No peak broadening, texture or thermal motion is included.

Largest 10 diffraction maxima, in order of rising 2θ, 10° ≤ 2θ ≤ 90°:
d 3.210, 27.79°, rel. 44; d 2.926, 30.55°, rel. 29; d 2.898, 30.86°, rel. 58; d 2.882, 31.04°, rel. 100; d 2.523, 35.58°, rel. 98; d 2.151, 42.01°, rel. 29; d 1.718, 53.32°, rel. 22; d 1.591, 57.98°, rel. 24; d 1.478, 62.89°, rel. 27; d 1.461, 63.69°, rel. 26

Structural model:
```
data_LaYTm4
_chemical_formula_sum 'La1 Y1 Tm4'
_symmetry_space_group_name_H-M 'P m m m'
_symmetry_Int_Tables_number 47
_cell_length_a 3.3905
_cell_length_b 5.7951
_cell_length_c 9.9638
_cell_angle_alpha 90.00
_cell_angle_beta 90.00
_cell_angle_gamma 90.00
loop_
_symmetry_equiv_pos_as_xyz
'x,y,z'
'-x,-y,-z'
'-x,-y,z'
'x,y,-z'
'x,-y,-z'
'-x,y,z'
'-x,y,-z'
'x,-y,z'
loop_
_atom_site_label
_atom_site_fract_x
_atom_site_fract_y
_atom_site_fract_z
La1 0.0000 0.0000 0.0000
Y1 0.5000 0.5000 0.5000
Tm1 0.0000 0.5000 0.1932
Tm2 0.5000 0.0000 0.3164
```

Starting from DFT lattice parameters and positions (GGA-PBE), the powder diffractogram of La4Y2Tm3 was calculated for Cu Kα (weighted mean of Kα1 and Kα2).
No peak broadening, texture or thermal motion is included.

Largest 10 diffraction maxima, in order of rising 2θ, 10° ≤ 2θ ≤ 90°:
d 2.959, 30.21°, rel. 100; d 2.565, 34.98°, rel. 34; d 2.556, 35.10°, rel. 17; d 1.812, 50.35°, rel. 30; d 1.809, 50.45°, rel. 6; d 1.546, 59.81°, rel. 28; d 1.543, 59.97°, rel. 14; d 1.479, 62.82°, rel. 12; d 1.176, 81.93°, rel. 9; d 1.147, 84.47°, rel. 9

Structural model:
```
data_La4Y2Tm3
_chemical_formula_sum 'La8 Y4 Tm6'
_symmetry_space_group_name_H-M 'C 1 2/m 1'
_symmetry_Int_Tables_number 12
_cell_length_a 15.3837
_cell_length_b 5.1322
_cell_length_c 8.0826
_cell_angle_alpha 90.00
_cell_angle_beta 108.40
_cell_angle_gamma 90.00
loop_
_symmetry_equiv_pos_as_xyz
'x,y,z'
'-x,-y,-z'
'-x,y,-z'
'x,-y,z'
'x+1/2,y+1/2,z'
'-x+1/2,-y+1/2,-z'
'-x+1/2,y+1/2,-z'
'x+1/2,-y+1/2,z'
loop_
_atom_site_label
_atom_site_fract_x
_atom_site_fract_y
_atom_site_fract_z
La1 0.0536 0.0000 0.3309
La2 0.2237 0.5000 0.3358
Y1 0.1670 0.0000 0.9998
Tm1 0.0000 0.5000 0.0000
Tm2 0.1113 0.5000 0.6711
```

Starting from DFT lattice parameters and positions (GGA-PBE), the powder diffractogram of La2YTm9 was calculated for Cu Kα (weighted mean of Kα1 and Kα2).
No peak broadening, texture or thermal motion is included.

Largest 10 diffraction maxima, in order of rising 2θ, 10° ≤ 2θ ≤ 90°:
d 2.893, 30.91°, rel. 100; d 2.506, 35.84°, rel. 51; d 1.772, 51.59°, rel. 36; d 1.511, 61.36°, rel. 43; d 1.447, 64.41°, rel. 12; d 1.254, 75.87°, rel. 2; d 1.252, 76.01°, rel. 4; d 1.150, 84.23°, rel. 18; d 1.121, 86.87°, rel. 5; d 1.120, 86.99°, rel. 11

Structural model:
```
data_La2YTm9
_chemical_formula_sum 'La2 Y1 Tm9'
_symmetry_space_group_name_H-M 'P 4/m m m'
_symmetry_Int_Tables_number 123
_symmetry_space_group_name_Hall '-P 4 2'
_cell_length_a 5.0084
_cell_length_b 5.0084
_cell_length_c 15.0486
_cell_angle_alpha 90.00
_cell_angle_beta 90.00
_cell_angle_gamma 90.00
loop_
_atom_site_label
_atom_site_fract_x
_atom_site_fract_y
_atom_site_fract_z
La1 0.0000 0.0000 0.1661
Y1 0.0000 0.0000 0.5000
Tm1 0.0000 0.5000 0.0000
Tm2 0.0000 0.5000 0.3367
Tm3 0.5000 0.5000 0.1687
Tm4 0.5000 0.5000 0.5000
```

Starting from DFT lattice parameters and positions (GGA-PBE), the powder diffractogram of LaY5Tm12 was calculated for Cu Kα (weighted mean of Kα1 and Kα2).
No peak broadening, texture or thermal motion is included.

Largest 10 diffraction maxima, in order of rising 2θ, 10° ≤ 2θ ≤ 90°:
d 2.944, 30.36°, rel. 25; d 2.850, 31.38°, rel. 30; d 2.764, 32.39°, rel. 100; d 2.547, 35.24°, rel. 15; d 2.048, 44.23°, rel. 18; d 1.663, 55.24°, rel. 12; d 1.629, 56.51°, rel. 20; d 1.581, 58.39°, rel. 10; d 1.382, 67.80°, rel. 9; d 1.283, 73.89°, rel. 9

Structural model:
```
data_LaY5Tm12
_chemical_formula_sum 'La2 Y10 Tm24'
_symmetry_space_group_name_H-M 'C 1 2/m 1'
_symmetry_Int_Tables_number 12
_cell_length_a 11.2405
_cell_length_b 17.1016
_cell_length_c 5.8875
_cell_angle_alpha 90.00
_cell_angle_beta 90.04
_cell_angle_gamma 90.00
loop_
_symmetry_equiv_pos_as_xyz
'x,y,z'
'-x,-y,-z'
'-x,y,-z'
'x,-y,z'
'x+1/2,y+1/2,z'
'-x+1/2,-y+1/2,-z'
'-x+1/2,y+1/2,-z'
'x+1/2,-y+1/2,z'
loop_
_atom_site_label
_atom_site_fract_x
_atom_site_fract_y
_atom_site_fract_z
La1 0.0000 0.0000 0.0000
Y1 0.0000 0.1668 0.5000
Y2 0.0000 0.3282 0.0000
Y3 0.0000 0.5000 0.5000
Tm1 0.1669 0.5000 0.9592
Tm2 0.1741 0.3329 0.5490
Tm3 0.1789 0.0000 0.5409
Tm4 0.1803 0.1665 0.9497
```

Starting from DFT lattice parameters and positions (GGA-PBE), the powder diffractogram of La2Y5Tm12 was calculated for Cu Kα (weighted mean of Kα1 and Kα2).
No peak broadening, texture or thermal motion is included.

Largest 10 diffraction maxima, in order of rising 2θ, 10° ≤ 2θ ≤ 90°:
d 2.889, 30.95°, rel. 100; d 2.502, 35.89°, rel. 51; d 1.770, 51.65°, rel. 24; d 1.768, 51.70°, rel. 12; d 1.510, 61.39°, rel. 11; d 1.509, 61.45°, rel. 18; d 1.507, 61.52°, rel. 14; d 1.444, 64.51°, rel. 12; d 1.148, 84.40°, rel. 15; d 1.119, 87.09°, rel. 7

Structural model:
```
data_La2Y5Tm12
_chemical_formula_sum 'La2 Y5 Tm12'
_symmetry_space_group_name_H-M 'P -1'
_symmetry_Int_Tables_number 2
_cell_length_a 7.9037
_cell_length_b 8.6601
_cell_length_c 9.3732
_cell_angle_alpha 90.03
_cell_angle_beta 94.78
_cell_angle_gamma 111.36
loop_
_symmetry_equiv_pos_as_xyz
'x,y,z'
'-x,-y,-z'
loop_
_atom_site_label
_atom_site_fract_x
_atom_site_fract_y
_atom_site_fract_z
La1 0.0799 0.0256 0.1838
Y1 0.2412 0.0806 0.5526
Y2 0.3419 0.4482 0.1319
Y3 0.5000 0.5000 0.5000
Tm1 0.0245 0.3449 0.3969
Tm2 0.1334 0.7086 0.9734
Tm3 0.1834 0.3970 0.7638
Tm4 0.2889 0.7614 0.3433
Tm5 0.3991 0.1334 0.9198
Tm6 0.4436 0.8135 0.7110
```

Starting from DFT lattice parameters and positions (GGA-PBE), the powder diffractogram of La3YTm8 was calculated for Cu Kα (weighted mean of Kα1 and Kα2).
No peak broadening, texture or thermal motion is included.

Largest 10 diffraction maxima, in order of rising 2θ, 10° ≤ 2θ ≤ 90°:
d 5.722, 15.48°, rel. 30; d 3.274, 27.24°, rel. 27; d 2.849, 31.40°, rel. 63; d 2.839, 31.52°, rel. 100; d 2.783, 32.17°, rel. 89; d 2.555, 35.12°, rel. 29; d 2.502, 35.89°, rel. 52; d 1.765, 51.79°, rel. 25; d 1.637, 56.19°, rel. 24; d 1.419, 65.81°, rel. 31

Structural model:
```
data_La3YTm8
_chemical_formula_sum 'La6 Y2 Tm16'
_symmetry_space_group_name_H-M 'I m m m'
_symmetry_Int_Tables_number 71
_symmetry_space_group_name_Hall '-I 2 2'
_cell_length_a 6.3761
_cell_length_b 11.3956
_cell_length_c 11.4452
_cell_angle_alpha 90.00
_cell_angle_beta 90.00
_cell_angle_gamma 90.00
loop_
_atom_site_label
_atom_site_fract_x
_atom_site_fract_y
_atom_site_fract_z
La1 0.0000 0.0000 0.0000
La2 0.0000 0.2465 0.5000
Y1 0.0000 0.5000 0.0000
Tm1 0.0000 0.2509 0.1731
Tm2 0.2480 0.0000 0.2547
```

Starting from DFT lattice parameters and positions (GGA-PBE), the powder diffractogram of La8Y2Tm3 was calculated for Cu Kα (weighted mean of Kα1 and Kα2).
No peak broadening, texture or thermal motion is included.

Largest 10 diffraction maxima, in order of rising 2θ, 10° ≤ 2θ ≤ 90°:
d 3.624, 24.56°, rel. 20; d 3.081, 28.98°, rel. 58; d 2.956, 30.24°, rel. 33; d 2.901, 30.83°, rel. 48; d 2.731, 32.79°, rel. 100; d 2.575, 34.84°, rel. 13; d 2.561, 35.04°, rel. 14; d 1.640, 56.08°, rel. 22; d 1.475, 63.02°, rel. 13; d 1.407, 66.47°, rel. 14

Structural model:
```
data_La8Y2Tm3
_chemical_formula_sum 'La16 Y4 Tm6'
_symmetry_space_group_name_H-M 'C 1 2/m 1'
_symmetry_Int_Tables_number 12
_cell_length_a 20.6107
_cell_length_b 7.7436
_cell_length_c 5.8013
_cell_angle_alpha 90.00
_cell_angle_beta 90.04
_cell_angle_gamma 90.00
loop_
_symmetry_equiv_pos_as_xyz
'x,y,z'
'-x,-y,-z'
'-x,y,-z'
'x,-y,z'
'x+1/2,y+1/2,z'
'-x+1/2,-y+1/2,-z'
'-x+1/2,y+1/2,-z'
'x+1/2,-y+1/2,z'
loop_
_atom_site_label
_atom_site_fract_x
_atom_site_fract_y
_atom_site_fract_z
La1 0.1042 0.1988 0.0001
La2 0.1284 0.5000 0.4989
La3 0.1739 0.0000 0.5015
Y1 0.2389 0.5000 0.9981
Tm1 0.0000 0.2159 0.5000
Tm2 0.0000 0.5000 0.0000
```

What is the formula in the twelfth record?
La8Y2Tm3

What is the formula in the eleventh record?
La3YTm8

Which formula does entry 9 have?
LaY5Tm12